1.
Structure and calculated XRD peak list of K2AlAuBr6 (the GGA-PBE geometry in the Materials Project; a wavelength of 1.5418 Å).
No peak broadening, texture or thermal motion is included.

Largest 10 diffraction maxima, sorted by position, 10° ≤ 2θ ≤ 90°:
- 2θ 14.3, 6.215 Å, I 23.8
- 2θ 16.5, 5.382 Å, I 83.8
- 2θ 27.5, 3.246 Å, I 35.2
- 2θ 28.7, 3.107 Å, I 37.9
- 2θ 33.3, 2.691 Å, I 100.0
- 2θ 36.4, 2.469 Å, I 29.2
- 2θ 37.4, 2.407 Å, I 42.7
- 2θ 47.8, 1.903 Å, I 68.8
- 2θ 59.5, 1.554 Å, I 23.0
- 2θ 79.7, 1.203 Å, I 28.4

Atomic structure:
Lattice parameters (Å, degrees): 7.611 7.611 7.611 60.00 60.00 60.00
Fractional positions:
K: 0.250 0.250 0.250
K: 0.750 0.750 0.750
Al: 0.000 0.000 0.000
Au: 0.500 0.500 0.500
Br: 0.236 0.236 0.764
Br: 0.236 0.764 0.236
Br: 0.236 0.764 0.764
Br: 0.764 0.236 0.236
Br: 0.764 0.236 0.764
Br: 0.764 0.764 0.236

2.
Structure and calculated XRD peak list of GdMnB4 (the GGA-PBE geometry in the Materials Project; a wavelength of 1.5418 Å).
No peak broadening, texture or thermal motion is included.

Largest 10 diffraction maxima, sorted by position, 10° ≤ 2θ ≤ 90°:
- 2θ 21.5, 4.125 Å, I 26.3
- 2θ 26.0, 3.429 Å, I 65.7
- 2θ 27.7, 3.215 Å, I 33.9
- 2θ 31.1, 2.872 Å, I 90.7
- 2θ 34.0, 2.637 Å, I 23.2
- 2θ 38.4, 2.345 Å, I 50.3
- 2θ 41.0, 2.202 Å, I 100.0
- 2θ 43.9, 2.063 Å, I 23.5
- 2θ 46.9, 1.935 Å, I 20.6
- 2θ 63.2, 1.472 Å, I 28.0

Atomic structure:
Lattice parameters (Å, degrees): 5.935 11.476 3.429 90.00 90.00 90.00
Fractional positions:
Gd: 0.126 0.150 0.000
Gd: 0.374 0.650 0.000
Gd: 0.626 0.350 0.000
Gd: 0.874 0.850 0.000
Mn: 0.128 0.416 0.000
Mn: 0.372 0.916 0.000
Mn: 0.628 0.084 0.000
Mn: 0.872 0.584 0.000
B: 0.024 0.690 0.500
B: 0.112 0.546 0.500
B: 0.139 0.968 0.500
B: 0.220 0.816 0.500
B: 0.280 0.316 0.500
B: 0.361 0.468 0.500
B: 0.388 0.046 0.500
B: 0.476 0.190 0.500
B: 0.524 0.810 0.500
B: 0.612 0.954 0.500
B: 0.639 0.532 0.500
B: 0.720 0.684 0.500
B: 0.780 0.184 0.500
B: 0.861 0.032 0.500
B: 0.888 0.454 0.500
B: 0.976 0.310 0.500

3.
Structure and calculated XRD peak list of Y2HfO5 (the GGA-PBE geometry in the Materials Project; a wavelength of 1.5418 Å).
No peak broadening, texture or thermal motion is included.

Largest 10 diffraction maxima, sorted by position, 10° ≤ 2θ ≤ 90°:
- 2θ 16.3, 5.431 Å, I 53.1
- 2θ 24.0, 3.704 Å, I 43.5
- 2θ 28.3, 3.153 Å, I 91.3
- 2θ 29.5, 3.029 Å, I 100.0
- 2θ 32.4, 2.764 Å, I 38.5
- 2θ 32.8, 2.734 Å, I 28.1
- 2θ 33.7, 2.659 Å, I 44.2
- 2θ 44.8, 2.022 Å, I 22.1
- 2θ 46.7, 1.944 Å, I 38.7
- 2θ 50.5, 1.809 Å, I 38.8

Atomic structure:
Lattice parameters (Å, degrees): 6.520 6.520 7.697 110.82 110.82 50.16
Fractional positions:
Y: 0.135 0.143 0.248
Y: 0.143 0.135 0.748
Y: 0.857 0.865 0.252
Y: 0.865 0.857 0.752
Hf: 0.500 0.500 0.000
Hf: 0.500 0.500 0.500
O: 0.101 0.751 0.044
O: 0.175 0.477 0.355
O: 0.249 0.899 0.456
O: 0.324 0.676 0.750
O: 0.477 0.175 0.855
O: 0.523 0.825 0.145
O: 0.676 0.324 0.250
O: 0.751 0.101 0.544
O: 0.825 0.523 0.645
O: 0.899 0.249 0.956

4.
Structure and calculated XRD peak list of NaSbO7 (the GGA-PBE geometry in the Materials Project; a wavelength of 1.5418 Å).
No peak broadening, texture or thermal motion is included.

Largest 10 diffraction maxima, sorted by position, 10° ≤ 2θ ≤ 90°:
- 2θ 14.6, 6.082 Å, I 96.0
- 2θ 19.5, 4.544 Å, I 100.0
- 2θ 20.0, 4.436 Å, I 77.8
- 2θ 24.6, 3.619 Å, I 30.8
- 2θ 25.7, 3.461 Å, I 40.2
- 2θ 28.2, 3.161 Å, I 73.2
- 2θ 31.3, 2.860 Å, I 36.8
- 2θ 32.5, 2.753 Å, I 30.2
- 2θ 38.0, 2.366 Å, I 42.6
- 2θ 40.2, 2.243 Å, I 33.2

Atomic structure:
Lattice parameters (Å, degrees): 7.249 7.249 6.485 90.00 90.00 122.97
Fractional positions:
Na: 0.227 0.773 0.500
Na: 0.773 0.227 0.000
Sb: 0.370 0.630 0.072
Sb: 0.630 0.370 0.572
O: 0.013 0.987 0.035
O: 0.096 0.470 0.201
O: 0.105 0.895 0.971
O: 0.259 0.413 0.820
O: 0.413 0.259 0.320
O: 0.446 0.554 0.687
O: 0.470 0.096 0.701
O: 0.530 0.904 0.201
O: 0.554 0.446 0.187
O: 0.587 0.741 0.820
O: 0.741 0.587 0.320
O: 0.895 0.105 0.471
O: 0.904 0.530 0.701
O: 0.987 0.013 0.535

5.
Structure and calculated XRD peak list of Cs2Ba2O3 (the GGA-PBE geometry in the Materials Project; a wavelength of 1.5418 Å).
No peak broadening, texture or thermal motion is included.

Largest 10 diffraction maxima, sorted by position, 10° ≤ 2θ ≤ 90°:
- 2θ 25.7, 3.470 Å, I 100.0
- 2θ 27.4, 3.261 Å, I 21.8
- 2θ 27.5, 3.242 Å, I 13.4
- 2θ 29.1, 3.065 Å, I 40.2
- 2θ 37.9, 2.373 Å, I 14.5
- 2θ 40.4, 2.231 Å, I 8.8
- 2θ 45.1, 2.009 Å, I 18.4
- 2θ 45.3, 2.001 Å, I 10.7
- 2θ 52.7, 1.737 Å, I 10.5
- 2θ 53.6, 1.710 Å, I 8.8

Atomic structure:
Lattice parameters (Å, degrees): 8.634 6.922 7.355 90.00 111.52 90.00
Fractional positions:
Cs: 0.128 0.196 0.398
Cs: 0.128 0.304 0.898
Cs: 0.872 0.696 0.102
Cs: 0.872 0.804 0.602
Ba: 0.375 0.745 0.694
Ba: 0.375 0.755 0.194
Ba: 0.625 0.245 0.806
Ba: 0.625 0.255 0.306
O: 0.206 0.592 0.369
O: 0.206 0.908 0.869
O: 0.500 0.000 0.500
O: 0.500 0.500 0.000
O: 0.794 0.092 0.131
O: 0.794 0.408 0.631

6.
Structure and calculated XRD peak list of Nd2CuO4 (the GGA-PBE geometry in the Materials Project; a wavelength of 1.5418 Å).
No peak broadening, texture or thermal motion is included.

Largest 10 diffraction maxima, sorted by position, 10° ≤ 2θ ≤ 90°:
- 2θ 24.6, 3.612 Å, I 24.4
- 2θ 27.5, 3.245 Å, I 12.8
- 2θ 31.5, 2.838 Å, I 100.0
- 2θ 33.7, 2.659 Å, I 66.3
- 2θ 42.3, 2.136 Å, I 22.9
- 2θ 44.0, 2.057 Å, I 27.8
- 2θ 48.4, 1.880 Å, I 32.3
- 2θ 55.2, 1.663 Å, I 12.5
- 2θ 58.9, 1.568 Å, I 34.5
- 2θ 66.2, 1.412 Å, I 11.0

Atomic structure:
Lattice parameters (Å, degrees): 7.013 7.013 7.013 148.90 148.90 44.56
Fractional positions:
Nd: 0.138 0.138 0.000
Nd: 0.862 0.862 0.000
Cu: 0.500 0.500 0.000
O: 0.000 0.500 0.500
O: 0.315 0.315 0.000
O: 0.500 0.000 0.500
O: 0.685 0.685 0.000

Q: Number 6 is which compound?
A: Nd2CuO4